For NdGa8Fe4, the PBE geometry in the Materials Project gives the simulated powder X-ray diffraction pattern in this record (Cu Kα (λ = 1.5418 Å)).
Peak positions follow from Bragg's law for the DFT cell and can differ from measured ones.

Structure:
a = 8.785 Å, b = 8.785 Å, c = 5.084 Å
α = 90.00°, β = 90.00°, γ = 90.00°
Space group I4/mmm (No. 139)
Symmetry-distinct sites (fractional):
Nd 0.000 0.000 0.000 [2 per cell]
Ga 0.000 0.224 0.500 [8 per cell]
Ga 0.000 0.341 0.000 [8 per cell]
Fe 0.250 0.250 0.250 [8 per cell]

The 6 most intense peaks (2θ from 10° to 80°), low angle first:
(2 1 1), 28.72°, rel. 9
(0 0 2), 35.35°, rel. 34
(4 0 0), 41.07°, rel. 100
(2 2 2), 46.17°, rel. 31
(3 2 3), 67.30°, rel. 10
(6 0 2), 74.86°, rel. 23